Diffraction record for Sr7RuN6. The XRD peak list is computed, not measured: it uses the GGA-PBE geometry in the Materials Project and Cu Kα X-rays.
Lines closer than 0.1° are merged.

Cell and atoms:
```
data_Sr7RuN6
_chemical_formula_sum 'Sr28 Ru4 N24'
_cell_length_a 11.8840
_cell_length_b 6.6931
_cell_length_c 13.9688
_cell_angle_alpha 90.00
_cell_angle_beta 90.00
_cell_angle_gamma 90.00
_space_group_name_H-M_alt 'P b c n'
_space_group_IT_number 60
_space_group_name_Hall '-P 2n 2ab'
loop_
_atom_site_label
_atom_site_type_symbol
_atom_site_fract_x
_atom_site_fract_y
_atom_site_fract_z
_atom_site_occupancy
Sr1 Sr 0.0000 0.0675 0.2500 1
Sr2 Sr 0.0361 0.2327 0.5190 1
Sr3 Sr 0.2108 0.3928 0.1215 1
Sr4 Sr 0.2187 0.3672 0.8742 1
Ru1 Ru 0.0000 0.4240 0.7500 1
N1 N 0.0341 0.4096 0.3589 1
N2 N 0.1230 0.2564 0.7067 1
N3 N 0.1670 0.0940 0.9956 1
```

Most intense lines, 10° ≤ 2θ ≤ 80°, low angle first:
d 3.139, 2θ = 28.4°, I 25; d 3.012, 2θ = 29.7°, I 100; d 2.971, 2θ = 30.1°, I 27; d 2.691, 2θ = 33.3°, I 26; d 2.666, 2θ = 33.6°, I 27; d 2.649, 2θ = 33.8°, I 19; d 2.240, 2θ = 40.3°, I 15; d 1.886, 2θ = 48.3°, I 16

---

Diffraction record for La3Zn22. The XRD peak list is computed, not measured: it uses the GGA-PBE geometry in the Materials Project and Cu Kα X-rays.
Lines closer than 0.1° are merged.

Cell and atoms:
```
data_La3Zn22
_chemical_formula_sum 'La12 Zn88'
_cell_length_a 8.9951
_cell_length_b 8.9951
_cell_length_c 21.4150
_cell_angle_alpha 90.00
_cell_angle_beta 90.00
_cell_angle_gamma 90.00
_space_group_name_H-M_alt 'I 41/a m d'
_space_group_IT_number 141
loop_
_space_group_symop_operation_xyz
'x,y,z'
'-x,-y,-z'
'-y+1/4,x+3/4,z+1/4'
'y+1/4,-x+3/4,-z+1/4'
'-x+1/2,-y,z+1/2'
'x+1/2,y,-z+1/2'
'y+1/4,-x+1/4,z+3/4'
'-y+1/4,x+1/4,-z+3/4'
'x,-y,-z'
'-x,y,z'
'-y+1/4,-x+1/4,-z+3/4'
'y+1/4,x+1/4,z+3/4'
'-x+1/2,y,-z+1/2'
'x+1/2,-y,z+1/2'
'y+1/4,x+3/4,-z+1/4'
'-y+1/4,-x+3/4,z+1/4'
'x+1/2,y+1/2,z+1/2'
'-x+1/2,-y+1/2,-z+1/2'
'-y+3/4,x+1/4,z+3/4'
'y+3/4,-x+1/4,-z+3/4'
'-x,-y+1/2,z'
'x,y+1/2,-z'
'y+3/4,-x+3/4,z+1/4'
'-y+3/4,x+3/4,-z+1/4'
'x+1/2,-y+1/2,-z+1/2'
'-x+1/2,y+1/2,z+1/2'
'-y+3/4,-x+3/4,-z+1/4'
'y+3/4,x+3/4,z+1/4'
'-x,y+1/2,-z'
'x,-y+1/2,z'
'y+3/4,x+1/4,-z+3/4'
'-y+3/4,-x+1/4,z+3/4'
loop_
_atom_site_label
_atom_site_type_symbol
_atom_site_fract_x
_atom_site_fract_y
_atom_site_fract_z
_atom_site_occupancy
La1 La 0.0000 0.2500 0.2548 1
La2 La 0.0000 0.2500 0.8750 1
Zn1 Zn 0.0000 0.0000 0.0000 1
Zn2 Zn 0.0000 0.0237 0.3768 1
Zn3 Zn 0.0000 0.0997 0.7367 1
Zn4 Zn 0.0000 0.1031 0.1167 1
Zn5 Zn 0.2324 0.0068 0.1887 1
```

Most intense lines, 10° ≤ 2θ ≤ 80°, low angle first:
d 2.932, 2θ = 30.5°, I 23; d 2.456, 2θ = 36.6°, I 32; d 2.355, 2θ = 38.2°, I 94; d 2.300, 2θ = 39.2°, I 100; d 2.249, 2θ = 40.1°, I 70; d 2.156, 2θ = 41.9°, I 32; d 2.048, 2θ = 44.2°, I 27; d 1.308, 2θ = 72.2°, I 22

---

Diffraction record for Hf2OsRh. The XRD peak list is computed, not measured: it uses the GGA-PBE geometry in the Materials Project and Cu Kα X-rays.
Lines closer than 0.1° are merged.

Cell and atoms:
```
data_Hf2OsRh
_chemical_formula_sum 'Hf8 Os4 Rh4'
_cell_length_a 6.5325
_cell_length_b 6.5325
_cell_length_c 6.5325
_cell_angle_alpha 90.00
_cell_angle_beta 90.00
_cell_angle_gamma 90.00
_space_group_name_H-M_alt 'F m -3 m'
_space_group_IT_number 225
_space_group_name_Hall '-F 4 2 3'
loop_
_atom_site_label
_atom_site_type_symbol
_atom_site_fract_x
_atom_site_fract_y
_atom_site_fract_z
_atom_site_occupancy
Hf1 Hf 0.2500 0.2500 0.2500 1
Os1 Os 0.0000 0.0000 0.0000 1
Rh1 Rh 0.0000 0.0000 0.5000 1
```

Most intense lines, 10° ≤ 2θ ≤ 80°, low angle first:
d 3.772, 2θ = 23.6°, I 4; d 3.266, 2θ = 27.3°, I 1; d 2.310, 2θ = 39.0°, I 100; d 1.970, 2θ = 46.1°, I 2; d 1.633, 2θ = 56.3°, I 17; d 1.499, 2θ = 61.9°, I 1; d 1.333, 2θ = 70.6°, I 35; d 1.257, 2θ = 75.6°, I 1

---

Diffraction record for KGe2N3. The XRD peak list is computed, not measured: it uses the GGA-PBE geometry in the Materials Project and Cu Kα X-rays.
Lines closer than 0.1° are merged.

Cell and atoms:
```
data_KGe2N3
_chemical_formula_sum 'K4 Ge8 N12'
_cell_length_a 10.1056
_cell_length_b 6.0264
_cell_length_c 5.3215
_cell_angle_alpha 90.00
_cell_angle_beta 90.00
_cell_angle_gamma 90.00
_space_group_name_H-M_alt 'C m c 21'
_space_group_IT_number 36
_space_group_name_Hall 'C 2c -2'
loop_
_atom_site_label
_atom_site_type_symbol
_atom_site_fract_x
_atom_site_fract_y
_atom_site_fract_z
_atom_site_occupancy
K1 K 0.0000 0.1549 0.0000 1
Ge1 Ge 0.1729 0.3562 0.5217 1
N1 N 0.0000 0.2941 0.4852 1
N2 N 0.2347 0.3815 0.8585 1
```

Most intense lines, 10° ≤ 2θ ≤ 80°, low angle first:
d 5.053, 2θ = 17.6°, I 25; d 2.940, 2θ = 30.4°, I 55; d 2.661, 2θ = 33.7°, I 56; d 2.622, 2θ = 34.2°, I 91; d 2.574, 2θ = 34.9°, I 100; d 1.973, 2θ = 46.0°, I 31; d 1.448, 2θ = 64.3°, I 28; d 1.417, 2θ = 65.9°, I 30

---

Diffraction record for Li3NbP3O11. The XRD peak list is computed, not measured: it uses the GGA-PBE geometry in the Materials Project and Cu Kα X-rays.
Lines closer than 0.1° are merged.

Cell and atoms:
```
data_Li3NbP3O11
_chemical_formula_sum 'Li6 Nb2 P6 O22'
_cell_length_a 6.1073
_cell_length_b 8.2306
_cell_length_c 8.3526
_cell_angle_alpha 106.82
_cell_angle_beta 92.93
_cell_angle_gamma 102.24
_space_group_name_H-M_alt 'P -1'
_space_group_IT_number 2
_space_group_name_Hall '-P 1'
loop_
_atom_site_label
_atom_site_type_symbol
_atom_site_fract_x
_atom_site_fract_y
_atom_site_fract_z
_atom_site_occupancy
Li1 Li 0.1005 0.3562 0.4634 1
Li2 Li 0.1219 0.4975 0.8195 1
Li3 Li 0.2213 0.9267 0.9472 1
Nb1 Nb 0.3814 0.1693 0.7272 1
P1 P 0.1078 0.8835 0.3121 1
P2 P 0.3491 0.3728 0.1310 1
P3 P 0.4066 0.7325 0.6232 1
O1 O 0.0412 0.0270 0.7762 1
O2 O 0.0781 0.2665 0.6594 1
O3 O 0.1094 0.3871 0.1060 1
O4 O 0.1927 0.5993 0.6273 1
O5 O 0.2386 0.0012 0.4796 1
O6 O 0.2690 0.8081 0.1885 1
O7 O 0.3701 0.3194 0.3069 1
O8 O 0.4016 0.2126 0.9994 1
O9 O 0.4033 0.9119 0.7470 1
O10 O 0.4465 0.7196 0.4435 1
O11 O 0.4595 0.4620 0.8381 1
```

Most intense lines, 10° ≤ 2θ ≤ 80°, low angle first:
d 7.653, 2θ = 11.6°, I 24; d 6.620, 2θ = 13.4°, I 95; d 5.925, 2θ = 15.0°, I 83; d 3.962, 2θ = 22.4°, I 100; d 3.497, 2θ = 25.5°, I 23; d 3.095, 2θ = 28.9°, I 56; d 2.817, 2θ = 31.8°, I 26; d 2.778, 2θ = 32.2°, I 30

---

Diffraction record for Np3Hg. The XRD peak list is computed, not measured: it uses the GGA-PBE geometry in the Materials Project and Cu Kα X-rays.
Lines closer than 0.1° are merged.

Cell and atoms:
```
data_Np3Hg
_chemical_formula_sum 'Np6 Hg2'
_cell_length_a 4.5372
_cell_length_b 4.5372
_cell_length_c 9.4346
_cell_angle_alpha 90.00
_cell_angle_beta 90.00
_cell_angle_gamma 90.00
_space_group_name_H-M_alt 'I 4/m m m'
_space_group_IT_number 139
_space_group_name_Hall '-I 4 2'
loop_
_atom_site_label
_atom_site_type_symbol
_atom_site_fract_x
_atom_site_fract_y
_atom_site_fract_z
_atom_site_occupancy
Np1 Np 0.0000 0.0000 0.0000 1
Np2 Np 0.0000 0.5000 0.2500 1
Hg1 Hg 0.0000 0.0000 0.5000 1
```

Most intense lines, 10° ≤ 2θ ≤ 80°, low angle first:
d 2.653, 2θ = 33.8°, I 100; d 2.359, 2θ = 38.2°, I 18; d 2.269, 2θ = 39.7°, I 32; d 1.635, 2θ = 56.3°, I 24; d 1.604, 2θ = 57.4°, I 11; d 1.412, 2θ = 66.2°, I 15; d 1.373, 2θ = 68.3°, I 27; d 1.326, 2θ = 71.1°, I 12

---

Diffraction record for MnBe2. The XRD peak list is computed, not measured: it uses the GGA-PBE geometry in the Materials Project and Cu Kα X-rays.
Lines closer than 0.1° are merged.

Cell and atoms:
```
data_MnBe2
_chemical_formula_sum 'Mn4 Be8'
_cell_length_a 4.1445
_cell_length_b 4.1445
_cell_length_c 6.7595
_cell_angle_alpha 90.00
_cell_angle_beta 90.00
_cell_angle_gamma 120.00
_space_group_name_H-M_alt 'P 63/m m c'
_space_group_IT_number 194
_space_group_name_Hall '-P 6c 2c'
loop_
_atom_site_label
_atom_site_type_symbol
_atom_site_fract_x
_atom_site_fract_y
_atom_site_fract_z
_atom_site_occupancy
Mn1 Mn 0.3333 0.6667 0.0606 1
Be1 Be 0.0000 0.0000 0.0000 1
Be2 Be 0.1701 0.3402 0.7500 1
```

Most intense lines, 10° ≤ 2θ ≤ 80°, low angle first:
d 3.589, 2θ = 24.8°, I 79; d 3.380, 2θ = 26.4°, I 48; d 3.170, 2θ = 28.1°, I 48; d 2.461, 2θ = 36.5°, I 35; d 2.072, 2θ = 43.7°, I 94; d 1.908, 2θ = 47.7°, I 100; d 1.767, 2θ = 51.7°, I 75; d 1.735, 2θ = 52.8°, I 22

---

Diffraction record for DyInRh. The XRD peak list is computed, not measured: it uses the GGA-PBE geometry in the Materials Project and Cu Kα X-rays.
Lines closer than 0.1° are merged.

Cell and atoms:
```
data_DyInRh
_chemical_formula_sum 'Dy3 In3 Rh3'
_cell_length_a 7.5368
_cell_length_b 7.5368
_cell_length_c 3.9350
_cell_angle_alpha 90.00
_cell_angle_beta 90.00
_cell_angle_gamma 120.00
_space_group_name_H-M_alt 'P -6 2 m'
_space_group_IT_number 189
_space_group_name_Hall 'P -6 -2'
loop_
_atom_site_label
_atom_site_type_symbol
_atom_site_fract_x
_atom_site_fract_y
_atom_site_fract_z
_atom_site_occupancy
Dy1 Dy 0.0000 0.5927 0.0000 1
In1 In 0.0000 0.2560 0.5000 1
Rh1 Rh 0.0000 0.0000 0.0000 1
Rh2 Rh 0.3333 0.6667 0.5000 1
```

Most intense lines, 10° ≤ 2θ ≤ 80°, low angle first:
d 2.722, 2θ = 32.9°, I 100; d 2.512, 2θ = 35.7°, I 85; d 2.467, 2θ = 36.4°, I 47; d 2.176, 2θ = 41.5°, I 34; d 2.090, 2θ = 43.3°, I 20; d 1.968, 2θ = 46.1°, I 24; d 1.538, 2θ = 60.2°, I 21; d 1.400, 2θ = 66.9°, I 29